(1)
CaAsAu: computed powder diffraction line list (Cu Kα X-rays), based on a PBE-relaxed structure.
Peak positions follow from Bragg's law for the DFT cell and can differ from measured ones.

Cell and atoms:
```
data_CaAsAu
_chemical_formula_sum 'Ca2 As2 Au2'
_cell_length_a 4.459
_cell_length_b 4.459
_cell_length_c 8.033
_cell_angle_alpha 90.00
_cell_angle_beta 90.00
_cell_angle_gamma 120.00
_symmetry_space_group_name_H-M 'P 1'
_symmetry_Int_Tables_number 1
loop_
_symmetry_equiv_pos_as_xyz
'x,y,z'
loop_
_atom_site_label
_atom_site_fract_x
_atom_site_fract_y
_atom_site_fract_z
Ca1 0.000 0.000 0.000
Ca2 0.000 0.000 0.500
As1 0.333 0.667 0.250
As2 0.667 0.333 0.750
Au1 0.333 0.667 0.750
Au2 0.667 0.333 0.250
```

Main lines, in order of rising 2θ (5° ≤ 2θ ≤ 70°):
2theta, Rel. int.
22.13, 69
23.03, 31
25.59, 58
32.15, 100
40.46, 83
45.15, 20
46.59, 61
52.59, 24
62.21, 46
68.38, 22

(2)
Nb3Cu2S6: computed powder diffraction line list (Cu Kα X-rays), based on a PBE-relaxed structure.
Peak positions follow from Bragg's law for the DFT cell and can differ from measured ones.

Cell and atoms:
```
data_Nb3Cu2S6
_chemical_formula_sum 'Nb6 Cu4 S12'
_cell_length_a 3.385
_cell_length_b 3.385
_cell_length_c 40.714
_cell_angle_alpha 90.00
_cell_angle_beta 90.00
_cell_angle_gamma 120.00
_symmetry_space_group_name_H-M 'P 1'
_symmetry_Int_Tables_number 1
loop_
_symmetry_equiv_pos_as_xyz
'x,y,z'
loop_
_atom_site_label
_atom_site_fract_x
_atom_site_fract_y
_atom_site_fract_z
Nb1 0.000 0.000 0.000
Nb2 0.000 0.000 0.322
Nb3 0.000 0.000 0.667
Nb4 0.333 0.667 0.164
Nb5 0.333 0.667 0.506
Nb6 0.333 0.667 0.831
Cu1 0.000 0.000 0.394
Cu2 0.333 0.667 0.093
Cu3 0.333 0.667 0.434
Cu4 0.333 0.667 0.760
S1 0.000 0.000 0.124
S2 0.000 0.000 0.201
S3 0.000 0.000 0.467
S4 0.000 0.000 0.544
S5 0.000 0.000 0.791
S6 0.000 0.000 0.868
S7 0.333 0.667 0.039
S8 0.333 0.667 0.284
S9 0.333 0.667 0.361
S10 0.333 0.667 0.629
S11 0.333 0.667 0.705
S12 0.333 0.667 0.963
```

Main lines, in order of rising 2θ (5° ≤ 2θ ≤ 70°):
2theta, Rel. int.
6.51, 100
13.05, 69
30.50, 70
31.22, 38
33.30, 16
36.53, 51
39.20, 10
40.68, 19
45.55, 92
54.20, 47

(3)
NaTl2InF6: computed powder diffraction line list (Cu Kα X-rays), based on a PBE-relaxed structure.
Peak positions follow from Bragg's law for the DFT cell and can differ from measured ones.

Cell and atoms:
```
data_NaTl2InF6
_chemical_formula_sum 'Na1 Tl2 In1 F6'
_cell_length_a 6.246
_cell_length_b 6.246
_cell_length_c 6.246
_cell_angle_alpha 60.00
_cell_angle_beta 60.00
_cell_angle_gamma 60.00
_symmetry_space_group_name_H-M 'P 1'
_symmetry_Int_Tables_number 1
loop_
_symmetry_equiv_pos_as_xyz
'x,y,z'
loop_
_atom_site_label
_atom_site_fract_x
_atom_site_fract_y
_atom_site_fract_z
Na1 0.000 0.000 0.000
Tl1 0.250 0.250 0.250
Tl2 0.750 0.750 0.750
In1 0.500 0.500 0.500
F1 0.261 0.261 0.739
F2 0.261 0.739 0.261
F3 0.261 0.739 0.739
F4 0.739 0.261 0.261
F5 0.739 0.261 0.739
F6 0.739 0.739 0.261
```

Main lines, in order of rising 2θ (5° ≤ 2θ ≤ 70°):
2theta, Rel. int.
17.39, 9
20.10, 21
28.58, 100
35.19, 22
40.86, 33
45.94, 11
50.62, 42
59.16, 21
63.15, 6
67.00, 19

(4)
Rh: computed powder diffraction line list (Cu Kα X-rays), based on a PBE-relaxed structure.
Peak positions follow from Bragg's law for the DFT cell and can differ from measured ones.

Cell and atoms:
```
data_Rh
_chemical_formula_sum 'Rh1'
_cell_length_a 2.673
_cell_length_b 2.673
_cell_length_c 2.673
_cell_angle_alpha 109.47
_cell_angle_beta 109.47
_cell_angle_gamma 109.47
_symmetry_space_group_name_H-M 'P 1'
_symmetry_Int_Tables_number 1
loop_
_symmetry_equiv_pos_as_xyz
'x,y,z'
loop_
_atom_site_label
_atom_site_fract_x
_atom_site_fract_y
_atom_site_fract_z
Rh1 0.000 0.000 0.000
```

Main lines, in order of rising 2θ (5° ≤ 2θ ≤ 70°):
2theta, Rel. int.
41.36, 100
59.93, 16